Calculated powder diffraction line list
Compound: PrTm8Cd6
Radiation: λ = 1.5418 Å (Cu Kα)
Structure: a crystal structure in Alexandria, relaxed with PBE

Structural model:
Cell lengths 8.154, 8.154, 8.154 Å; angles 66.50, 66.50, 66.50 degrees
Atoms (fractional coordinates):
Pr1 0.000 0.000 0.000
Tm1 0.118 0.785 0.445
Tm2 0.215 0.555 0.882
Tm3 0.332 0.332 0.332
Tm4 0.445 0.118 0.785
Tm5 0.555 0.882 0.215
Tm6 0.668 0.668 0.668
Tm7 0.785 0.445 0.118
Tm8 0.882 0.215 0.555
Cd1 0.054 0.396 0.712
Cd2 0.288 0.946 0.604
Cd3 0.396 0.712 0.054
Cd4 0.604 0.288 0.946
Cd5 0.712 0.054 0.396
Cd6 0.946 0.604 0.288

Most intense lines, 2θ from 10° to 90°, by angle:
3.648 Å, I 197; 2.580 Å, I 1000; 1.824 Å, I 181; 1.632 Å, I 75; 1.490 Å, I 271; 1.488 Å, I 83; 1.290 Å, I 104; 1.154 Å, I 151